Computed X-ray diffraction stick pattern of Li2Fe2Si8O19 for a wavelength of 1.5418 Å, from a structure optimized by DFT (PBE+U).

Cell and atoms:
```
data_Li2Fe2Si8O19
_space_group_name_H-M_alt 'P 1'
_space_group_IT_number 1
_cell_length_a 4.9470
_cell_length_b 7.1892
_cell_length_c 12.4576
_cell_angle_alpha 73.63
_cell_angle_beta 78.76
_cell_angle_gamma 70.20
loop_
_space_group_symop_operation_xyz
'x,y,z'
loop_
_atom_site_label
_atom_site_fract_x
_atom_site_fract_y
_atom_site_fract_z
Li1 0.0000 0.0000 0.0000
Li2 0.1937 0.8780 0.7269
Fe1 0.0735 0.4363 0.7673
Fe2 0.4600 0.4418 0.9563
Si1 0.2914 0.7556 0.2897
Si2 0.4295 0.1721 0.1926
Si3 0.5325 0.1275 0.4356
Si4 0.6768 0.1572 0.7816
Si5 0.8060 0.7248 0.9433
Si6 0.8919 0.2910 0.5319
Si7 0.9083 0.5917 0.1926
Si8 0.9909 0.7133 0.5318
O1 0.0171 0.7064 0.2630
O2 0.0638 0.5356 0.9051
O3 0.1025 0.6865 0.6511
O4 0.1360 0.3704 0.1885
O5 0.1847 0.1729 0.4626
O6 0.2374 0.7475 0.4241
O7 0.3053 0.9777 0.2135
O8 0.3522 0.1595 0.7781
O9 0.4823 0.7212 0.9461
O10 0.5854 0.5841 0.2515
O11 0.6031 0.1369 0.3010
O12 0.6182 0.3016 0.4722
O13 0.6360 0.2004 0.0748
O14 0.6943 0.9076 0.5117
O15 0.7095 0.3463 0.8205
O16 0.8659 0.9407 0.8626
O17 0.8826 0.7383 0.0653
O18 0.8848 0.1453 0.6595
O19 0.8943 0.5126 0.5356
```

The 10 most intense peaks (5 to 70 degrees two-theta), sorted by position:
d_spacing, Rel. int.
6.576, 47
5.256, 76
4.476, 100
3.469, 38
3.454, 37
3.248, 56
3.229, 51
3.088, 38
2.967, 56
2.422, 55


Computed X-ray diffraction stick pattern of LiFeSiO4 for a wavelength of 1.5418 Å, from a structure optimized by DFT (PBE+U).

Cell and atoms:
```
data_LiFeSiO4
_space_group_name_H-M_alt 'P 1'
_space_group_IT_number 1
_cell_length_a 4.9568
_cell_length_b 4.9568
_cell_length_c 6.2369
_cell_angle_alpha 90.00
_cell_angle_beta 90.00
_cell_angle_gamma 112.85
loop_
_space_group_symop_operation_xyz
'x,y,z'
loop_
_atom_site_label
_atom_site_fract_x
_atom_site_fract_y
_atom_site_fract_z
Li1 0.1702 0.8298 0.7500
Li2 0.8298 0.1702 0.2500
Fe1 0.5000 0.5000 0.0000
Fe2 0.5000 0.5000 0.5000
Si1 0.1534 0.8466 0.2500
Si2 0.8466 0.1534 0.7500
O1 0.2139 0.2675 0.7500
O2 0.2651 0.7349 0.0357
O3 0.2651 0.7349 0.4643
O4 0.2675 0.2139 0.2500
O5 0.7325 0.7861 0.7500
O6 0.7349 0.2651 0.5357
O7 0.7349 0.2651 0.9643
O8 0.7861 0.7325 0.2500
```

The 10 most intense peaks (5 to 70 degrees two-theta), sorted by position:
d_spacing, Rel. int.
4.568, 55
4.130, 26
3.685, 30
3.443, 18
2.741, 38
2.575, 100
2.460, 42
2.059, 26
1.843, 27
1.458, 39


Computed X-ray diffraction stick pattern of LiFeSiO4 for a wavelength of 1.5418 Å, from a structure optimized by DFT (PBE+U).

Cell and atoms:
```
data_LiFeSiO4
_space_group_name_H-M_alt 'P 1'
_space_group_IT_number 1
_cell_length_a 10.3857
_cell_length_b 6.7775
_cell_length_c 5.0825
_cell_angle_alpha 90.00
_cell_angle_beta 90.00
_cell_angle_gamma 90.00
loop_
_space_group_symop_operation_xyz
'x,y,z'
loop_
_atom_site_label
_atom_site_fract_x
_atom_site_fract_y
_atom_site_fract_z
Li1 0.1500 0.0069 0.0000
Li2 0.3500 0.5069 0.5000
Li3 0.6500 0.4931 0.0000
Li4 0.8500 0.9931 0.5000
Fe1 0.1690 0.5083 0.0017
Fe2 0.3310 0.0083 0.5017
Fe3 0.6690 0.9917 0.0017
Fe4 0.8310 0.4917 0.5017
Si1 0.0932 0.2656 0.5038
Si2 0.4068 0.7656 0.0038
Si3 0.5932 0.2344 0.5038
Si4 0.9068 0.7344 0.0038
O1 0.0622 0.7347 0.9434
O2 0.1207 0.2734 0.8238
O3 0.1595 0.0630 0.3863
O4 0.1680 0.4551 0.3687
O5 0.3320 0.9551 0.8687
O6 0.3405 0.5630 0.8863
O7 0.3793 0.7734 0.3238
O8 0.4378 0.2347 0.4434
O9 0.5622 0.7653 0.9434
O10 0.6207 0.2266 0.8238
O11 0.6595 0.4370 0.3863
O12 0.6680 0.0449 0.3687
O13 0.8320 0.5449 0.8687
O14 0.8405 0.9370 0.8863
O15 0.8793 0.7266 0.3238
O16 0.9378 0.2653 0.4434
```

The 10 most intense peaks (5 to 70 degrees two-theta), sorted by position:
d_spacing, Rel. int.
5.676, 57
4.122, 45
4.066, 66
3.786, 100
3.083, 41
2.838, 48
2.596, 29
2.541, 46
2.478, 47
1.893, 26